Record 1
Diffraction record for Nd8CoGe3Br4. The powder diffractogram is calculated, not measured: it uses a structure optimized by DFT (PBE) and Cu Kα, 1.54184 Å.

Principal peaks in the range 10 to 90 degrees two-theta, low angle first:
| 2theta | intensity |
| --- | --- |
| 25.40 | 12 |
| 29.10 | 100 |
| 40.93 | 31 |
| 42.31 | 38 |
| 52.18 | 19 |
| 60.25 | 8 |
| 67.37 | 9 |
| 69.37 | 10 |

Cell and atoms:
abc: 8.5479 8.5479 8.8313
angles: 118.98 118.98 59.92
Fractional positions:
Nd1 0.2248 0.7551 0.7049
Nd2 0.2272 0.2272 0.7071
Nd3 0.2449 0.7752 0.2951
Nd4 0.2608 0.2608 0.2822
Nd5 0.7392 0.7392 0.7178
Nd6 0.7551 0.2248 0.7049
Nd7 0.7728 0.7728 0.2929
Nd8 0.7752 0.2449 0.2951
Co1 0.0000 0.0000 0.5000
Ge1 0.0000 0.5000 0.5000
Ge2 0.5000 0.0000 0.5000
Ge3 0.5000 0.5000 0.5000
Br1 0.0000 0.0000 0.0000
Br2 0.0000 0.5000 0.0000
Br3 0.5000 0.0000 0.0000
Br4 0.5000 0.5000 0.0000

---

Record 2
Diffraction record for La2SbI. The powder diffractogram is calculated, not measured: it uses a structure optimized by DFT (PBE) and Cu Kα, 1.54184 Å.

Principal peaks in the range 10 to 90 degrees two-theta, low angle first:
| 2theta | intensity |
| --- | --- |
| 23.98 | 29 |
| 29.37 | 100 |
| 34.60 | 36 |
| 40.07 | 53 |
| 43.90 | 17 |
| 50.45 | 22 |
| 61.60 | 21 |
| 66.29 | 19 |

Cell and atoms:
abc: 4.5010 4.5010 24.3050
angles: 90.00 90.00 120.00
Fractional positions:
La1 0.0000 0.0000 0.0000
La2 0.0000 0.0000 0.1875
La3 0.3333 0.6667 0.6667
La4 0.3333 0.6667 0.8541
La5 0.6667 0.3333 0.3333
La6 0.6667 0.3333 0.5208
Sb1 0.0000 0.0000 0.5949
Sb2 0.3333 0.6667 0.2615
Sb3 0.6667 0.3333 0.9282
I1 0.0000 0.0000 0.4263
I2 0.3333 0.6667 0.0930
I3 0.6667 0.3333 0.7597

---

Record 3
Diffraction record for YMgP. The powder diffractogram is calculated, not measured: it uses a structure optimized by DFT (PBE) and Cu Kα, 1.54184 Å.

Principal peaks in the range 10 to 90 degrees two-theta, low angle first:
| 2theta | intensity |
| --- | --- |
| 10.20 | 100 |
| 25.59 | 33 |
| 29.87 | 54 |
| 30.94 | 53 |
| 31.99 | 60 |
| 33.66 | 97 |
| 43.81 | 29 |
| 45.10 | 57 |

Cell and atoms:
abc: 3.8014 4.1331 8.6697
angles: 90.00 90.00 90.00
Fractional positions:
Y1 0.2500 0.2500 0.1448
Y2 0.7500 0.7500 0.8552
Mg1 0.2500 0.7500 0.4345
Mg2 0.7500 0.2500 0.5655
P1 0.2500 0.2500 0.8185
P2 0.7500 0.7500 0.1815

---

Record 4
Diffraction record for NaPbWI. The powder diffractogram is calculated, not measured: it uses a structure optimized by DFT (PBE) and Cu Kα, 1.54184 Å.

Principal peaks in the range 10 to 90 degrees two-theta, low angle first:
| 2theta | intensity |
| --- | --- |
| 28.37 | 58 |
| 28.92 | 32 |
| 31.22 | 44 |
| 32.79 | 93 |
| 36.68 | 43 |
| 36.79 | 85 |
| 39.06 | 100 |
| 49.73 | 50 |

Cell and atoms:
abc: 6.3588 3.6539 9.2067
angles: 90.00 103.37 90.00
Fractional positions:
Na1 0.0000 0.0000 0.0000
Na2 0.5000 0.5000 0.0000
Pb1 0.4214 0.0000 0.2653
Pb2 0.9214 0.5000 0.2653
W1 0.1626 0.0000 0.4861
W2 0.6626 0.5000 0.4861
I1 0.0624 0.5000 0.6859
I2 0.5624 0.0000 0.6859

---

Record 5
Diffraction record for PuGa6Sn. The powder diffractogram is calculated, not measured: it uses a structure optimized by DFT (PBE) and Cu Kα, 1.54184 Å.

Principal peaks in the range 10 to 90 degrees two-theta, low angle first:
| 2theta | intensity |
| --- | --- |
| 19.52 | 15 |
| 35.92 | 100 |
| 39.64 | 38 |
| 45.65 | 13 |
| 57.30 | 13 |
| 62.02 | 20 |
| 69.51 | 29 |
| 78.00 | 11 |

Cell and atoms:
abc: 6.4312 6.4312 3.9749
angles: 90.00 90.00 90.00
Fractional positions:
Pu1 0.0000 0.0000 0.0000
Ga1 0.0000 0.5000 0.0000
Ga2 0.2558 0.2558 0.5000
Ga3 0.2558 0.7442 0.5000
Ga4 0.5000 0.0000 0.0000
Ga5 0.7442 0.2558 0.5000
Ga6 0.7442 0.7442 0.5000
Sn1 0.5000 0.5000 0.0000

---

Record 6
Diffraction record for HoThP2Rh5. The powder diffractogram is calculated, not measured: it uses a structure optimized by DFT (PBE) and Cu Kα, 1.54184 Å.

Principal peaks in the range 10 to 90 degrees two-theta, low angle first:
| 2theta | intensity |
| --- | --- |
| 25.29 | 25 |
| 27.63 | 37 |
| 32.18 | 23 |
| 35.47 | 100 |
| 44.43 | 43 |
| 53.78 | 21 |
| 57.04 | 21 |
| 75.96 | 22 |

Cell and atoms:
abc: 4.0780 4.0780 10.5653
angles: 90.00 90.00 90.00
Fractional positions:
Ho1 0.0000 0.0000 0.0000
Th1 0.0000 0.0000 0.5000
P1 0.5000 0.5000 0.2842
P2 0.5000 0.5000 0.7158
Rh1 0.0000 0.5000 0.1960
Rh2 0.0000 0.5000 0.8040
Rh3 0.5000 0.0000 0.1960
Rh4 0.5000 0.0000 0.8040
Rh5 0.5000 0.5000 0.5000

---

Record 7
Diffraction record for Pr6AuS2I3. The powder diffractogram is calculated, not measured: it uses a structure optimized by DFT (PBE) and Cu Kα, 1.54184 Å.

Principal peaks in the range 10 to 90 degrees two-theta, low angle first:
| 2theta | intensity |
| --- | --- |
| 28.75 | 100 |
| 30.97 | 8 |
| 33.85 | 7 |
| 38.97 | 10 |
| 39.14 | 20 |
| 43.07 | 36 |
| 52.67 | 12 |
| 70.23 | 10 |

Cell and atoms:
abc: 7.2717 7.2717 8.2963
angles: 98.30 98.30 119.89
Fractional positions:
Pr1 0.0843 0.4342 0.8011
Pr2 0.2168 0.2168 0.1952
Pr3 0.4342 0.0843 0.8011
Pr4 0.5658 0.9157 0.1989
Pr5 0.7832 0.7832 0.8048
Pr6 0.9157 0.5658 0.1989
Au1 0.5000 0.5000 0.0000
S1 0.1673 0.8327 0.0000
S2 0.8327 0.1673 0.0000
I1 0.0000 0.0000 0.5000
I2 0.3378 0.6622 0.5000
I3 0.6622 0.3378 0.5000